No. 1
Computed powder XRD pattern
Compound: LaPr2Sn5Pb2
Radiation: CuKα
Structure: DFT lattice parameters and positions (PBE)

Cell and atoms:
```
data_LaPr2Sn5Pb2
_space_group_name_H-M_alt 'P 1'
_space_group_IT_number 1
_cell_length_a 13.215
_cell_length_b 13.215
_cell_length_c 4.789
_cell_angle_alpha 90.00
_cell_angle_beta 90.00
_cell_angle_gamma 159.83
loop_
_space_group_symop_operation_xyz
'x,y,z'
loop_
_atom_site_label
_atom_site_fract_x
_atom_site_fract_y
_atom_site_fract_z
La1 0.000 0.000 0.000
Pr1 0.187 0.813 0.000
Pr2 0.813 0.187 0.000
Sn1 0.290 0.710 0.500
Sn2 0.405 0.595 0.000
Sn3 0.500 0.500 0.500
Sn4 0.595 0.405 0.000
Sn5 0.710 0.290 0.500
Pb1 0.097 0.903 0.500
Pb2 0.903 0.097 0.500
```

Top 10 peaks for 15° ≤ 2θ ≤ 90°, in order of rising 2θ:
2θ 31.92, I = 100
2θ 34.47, I = 17
2θ 37.56, I = 17
2θ 38.93, I = 16
2θ 51.89, I = 11
2θ 55.20, I = 11
2θ 60.14, I = 12
2θ 64.27, I = 14
2θ 66.13, I = 13
2θ 66.73, I = 11


No. 2
Computed powder XRD pattern
Compound: LaPr2Sn4Pb3
Radiation: CuKα
Structure: DFT lattice parameters and positions (PBE)

Cell and atoms:
```
data_LaPr2Sn4Pb3
_space_group_name_H-M_alt 'P 1'
_space_group_IT_number 1
_cell_length_a 13.268
_cell_length_b 13.268
_cell_length_c 4.810
_cell_angle_alpha 90.00
_cell_angle_beta 90.00
_cell_angle_gamma 159.83
loop_
_space_group_symop_operation_xyz
'x,y,z'
loop_
_atom_site_label
_atom_site_fract_x
_atom_site_fract_y
_atom_site_fract_z
La1 0.000 0.000 0.000
Pr1 0.188 0.812 0.000
Pr2 0.812 0.188 0.000
Sn1 0.290 0.710 0.500
Sn2 0.404 0.596 0.000
Sn3 0.596 0.404 0.000
Sn4 0.710 0.290 0.500
Pb1 0.098 0.902 0.500
Pb2 0.500 0.500 0.500
Pb3 0.902 0.098 0.500
```

Top 10 peaks for 15° ≤ 2θ ≤ 90°, in order of rising 2θ:
2θ 31.78, I = 100
2θ 34.33, I = 18
2θ 37.40, I = 17
2θ 38.75, I = 15
2θ 51.66, I = 11
2θ 54.95, I = 11
2θ 59.88, I = 13
2θ 63.96, I = 14
2θ 65.81, I = 13
2θ 66.41, I = 11


No. 3
Computed powder XRD pattern
Compound: La2TbSn2Pb5
Radiation: CuKα
Structure: DFT lattice parameters and positions (PBE)

Cell and atoms:
```
data_La2TbSn2Pb5
_space_group_name_H-M_alt 'P 1'
_space_group_IT_number 1
_cell_length_a 13.421
_cell_length_b 13.421
_cell_length_c 4.789
_cell_angle_alpha 90.00
_cell_angle_beta 90.00
_cell_angle_gamma 160.05
loop_
_space_group_symop_operation_xyz
'x,y,z'
loop_
_atom_site_label
_atom_site_fract_x
_atom_site_fract_y
_atom_site_fract_z
La1 0.187 0.813 0.000
La2 0.813 0.187 0.000
Tb1 0.000 0.000 0.000
Sn1 0.289 0.711 0.500
Sn2 0.711 0.289 0.500
Pb1 0.095 0.905 0.500
Pb2 0.406 0.594 0.000
Pb3 0.500 0.500 0.500
Pb4 0.594 0.406 0.000
Pb5 0.905 0.095 0.500
```

Top 10 peaks for 15° ≤ 2θ ≤ 90°, in order of rising 2θ:
2θ 31.72, I = 100
2θ 33.91, I = 18
2θ 37.56, I = 17
2θ 38.74, I = 16
2θ 51.49, I = 11
2θ 55.06, I = 11
2θ 59.30, I = 11
2θ 64.15, I = 14
2θ 65.75, I = 13
2θ 66.27, I = 14